Diffraction record for BiB3O6. The powder XRD pattern is computed, not measured: it uses a cell relaxed with GGA-PBE and a wavelength of 1.5418 Å.
Intensities are scaled so that the largest is 100.

Crystal structure
```
BiB3O6
1.0
3.559 -2.611 0.000
3.559 2.611 0.000
-1.620 0.000 6.452
Bi B O
1 3 6
direct
0.000 0.000 0.000
0.323 0.178 0.695
0.734 0.266 0.500
0.822 0.677 0.305
0.424 0.281 0.549
0.495 0.077 0.878
0.719 0.576 0.451
0.813 0.004 0.320
0.923 0.505 0.122
0.996 0.187 0.680
```

Largest 8 diffraction maxima, sorted by position, 5° ≤ 2θ ≤ 70°:
| 2θ/deg | I_rel |
| --- | --- |
| 13.7 | 77 |
| 21.3 | 100 |
| 23.7 | 49 |
| 26.1 | 21 |
| 27.1 | 84 |
| 27.7 | 26 |
| 32.5 | 33 |
| 42.0 | 21 |